(1)
Calculated X-ray powder pattern of Sr2FeSnO6 for Cu Kα (λ = 1.5418 Å), from a PBE+U-relaxed structure.

Cell and atoms:
Cell: 4.028 8.011 8.101 Å, 90.00 90.00 90.00°
Atoms (fractional coordinates):
Sr (0.000, 0.234, 0.249)
Sr (0.000, 0.234, 0.751)
Sr (0.000, 0.766, 0.249)
Sr (0.000, 0.766, 0.751)
Fe (0.500, 0.000, 0.000)
Fe (0.500, 0.000, 0.500)
Sn (0.500, 0.500, 0.000)
Sn (0.500, 0.500, 0.500)
O (0.000, 0.000, 0.000)
O (0.000, 0.000, 0.500)
O (0.000, 0.500, 0.000)
O (0.000, 0.500, 0.500)
O (0.500, 0.000, 0.243)
O (0.500, 0.000, 0.757)
O (0.500, 0.241, 0.000)
O (0.500, 0.241, 0.500)
O (0.500, 0.500, 0.250)
O (0.500, 0.500, 0.750)
O (0.500, 0.759, 0.000)
O (0.500, 0.759, 0.500)

Main lines, in order of falling intensity (10 to 90 degrees two-theta):
- hkl 1 0 2, 31.36 deg, 2.852 Å, rel. 1000
- hkl 1 2 0, 31.50 deg, 2.840 Å, rel. 489
- hkl 1 2 4, 55.75 deg, 1.649 Å, rel. 198
- hkl 2 2 2, 55.92 deg, 1.644 Å, rel. 197
- hkl 1 4 2, 56.09 deg, 1.640 Å, rel. 182
- hkl 0 0 4, 44.75 deg, 2.025 Å, rel. 181
- hkl 2 0 0, 45.02 deg, 2.014 Å, rel. 178
- hkl 0 4 0, 45.28 deg, 2.003 Å, rel. 164
- hkl 2 0 4, 65.35 deg, 1.428 Å, rel. 108
- hkl 2 4 4, 83.06 deg, 1.163 Å, rel. 101

=====

(2)
Calculated X-ray powder pattern of Mg14ZnCoO16 for Cu Kα (λ = 1.5418 Å), from a PBE+U-relaxed structure.

Cell and atoms:
Cell: 4.258 8.505 8.562 Å, 90.00 90.00 90.00°
Atoms (fractional coordinates):
Mg (0.000, 0.000, 0.000)
Mg (0.000, 0.249, 0.250)
Mg (0.000, 0.249, 0.750)
Mg (0.000, 0.500, 0.000)
Mg (0.000, 0.751, 0.250)
Mg (0.000, 0.751, 0.750)
Mg (0.500, 0.000, 0.250)
Mg (0.500, 0.000, 0.750)
Mg (0.500, 0.250, 0.000)
Mg (0.500, 0.250, 0.500)
Mg (0.500, 0.500, 0.250)
Mg (0.500, 0.500, 0.750)
Mg (0.500, 0.750, 0.000)
Mg (0.500, 0.750, 0.500)
Zn (0.000, 0.500, 0.500)
Co (0.000, 0.000, 0.500)
O (0.000, 0.000, 0.244)
O (0.000, 0.000, 0.756)
O (0.000, 0.246, 0.500)
O (0.000, 0.250, 0.000)
O (0.000, 0.500, 0.247)
O (0.000, 0.500, 0.753)
O (0.000, 0.750, 0.000)
O (0.000, 0.754, 0.500)
O (0.500, 0.000, 0.000)
O (0.500, 0.000, 0.500)
O (0.500, 0.250, 0.251)
O (0.500, 0.250, 0.749)
O (0.500, 0.500, 0.000)
O (0.500, 0.500, 0.500)
O (0.500, 0.750, 0.251)
O (0.500, 0.750, 0.749)

Main lines, in order of falling intensity (10 to 90 degrees two-theta):
- hkl 2 0 0, 42.49 deg, 2.128 Å, rel. 1000
- hkl 2 0 4, 61.45 deg, 1.509 Å, rel. 572
- hkl 0 0 4, 42.22 deg, 2.140 Å, rel. 510
- hkl 1 2 2, 36.50 deg, 2.462 Å, rel. 296
- hkl 2 4 0, 61.65 deg, 1.504 Å, rel. 283
- hkl 2 4 4, 77.56 deg, 1.231 Å, rel. 259
- hkl 0 0 1, 10.33 deg, 8.562 Å, rel. 174
- hkl 1 0 1, 23.34 deg, 3.811 Å, rel. 113
- hkl 3 2 2, 73.82 deg, 1.284 Å, rel. 109
- hkl 1 0 0, 20.88 deg, 4.255 Å, rel. 78

=====

(3)
Calculated X-ray powder pattern of MgCoBiO3 for Cu Kα (λ = 1.5418 Å), from a PBE+U-relaxed structure.

Cell and atoms:
Cell: 3.970 3.970 6.681 Å, 90.00 90.00 90.00°
Atoms (fractional coordinates):
Mg (0.000, 0.000, 0.000)
Co (0.000, 0.000, 0.561)
Bi (0.500, 0.500, 0.173)
O (0.000, 0.000, 0.298)
O (0.000, 0.500, 0.983)
O (0.500, 0.000, 0.983)

Main lines, in order of falling intensity (10 to 90 degrees two-theta):
- hkl 1 0 1, 26.11 deg, 3.413 Å, rel. 1000
- hkl 0 0 1, 13.25 deg, 6.681 Å, rel. 849
- hkl 1 1 0, 31.88 deg, 2.807 Å, rel. 437
- hkl 1 0 2, 35.11 deg, 2.556 Å, rel. 430
- hkl 1 1 1, 34.66 deg, 2.588 Å, rel. 298
- hkl 2 1 1, 53.40 deg, 1.716 Å, rel. 293
- hkl 1 1 2, 42.04 deg, 2.149 Å, rel. 284
- hkl 2 0 0, 45.71 deg, 1.985 Å, rel. 243
- hkl 2 1 2, 58.91 deg, 1.568 Å, rel. 199
- hkl 1 0 3, 46.77 deg, 1.942 Å, rel. 195